1.
Computed PXRD pattern
Compound: Re4Br
Radiation: Cu Kα X-rays
Structure: a DFT-relaxed cell (GGA-PBE, Alexandria)

Structure:
Cell lengths 4.484, 4.484, 4.484 Å; angles 90.00, 90.00, 90.00 degrees
Space group Pm-3m (No. 221)
Asymmetric unit:
Re 0.000 0.000 0.000 (multiplicity 1)
Re 0.000 0.500 0.500 (multiplicity 3)
Br 0.500 0.500 0.500 (multiplicity 1)

Largest 10 diffraction maxima, by angle, 2θ = 5–70°:
4.484 Å, I 5, (1 0 0)
3.171 Å, I 4, (1 1 0)
2.589 Å, I 100, (1 1 1)
2.242 Å, I 78, (2 0 0)
2.005 Å, I 2, (2 1 0)
1.831 Å, I 2, (2 1 1)
1.585 Å, I 54, (2 2 0)
1.495 Å, I 1, (3 0 0)
1.418 Å, I 1, (3 1 0)
1.352 Å, I 41, (3 1 1)

2.
Computed PXRD pattern
Compound: ReBr
Radiation: Cu Kα X-rays
Structure: a DFT-relaxed cell (GGA-PBE, Alexandria)

Structure:
Cell lengths 3.4348, 3.4348, 9.0891 Å; angles 90.00, 90.00, 120.00 degrees
Space group P-3m1 (No. 164)
Asymmetric unit:
Re 0.3333 0.6667 0.0788 (multiplicity 2)
Br 0.3333 0.6667 0.7008 (multiplicity 2)

Largest 12 diffraction maxima, by angle, 2θ = 5–70°:
9.089 Å, I 100, (0 0 1)
2.975 Å, I 22, (1 0 0)
2.827 Å, I 10, (1 0 1)
2.489 Å, I 47, (1 0 2)
2.123 Å, I 41, (1 0 3)
1.818 Å, I 5, (0 0 5)
1.806 Å, I 4, (0 1 4)
1.717 Å, I 18, (1 1 0)
1.688 Å, I 9, (1 1 1)
1.551 Å, I 8, (0 1 5)
1.414 Å, I 8, (0 2 2)
1.350 Å, I 3, (0 1 6)